LiFeP3O9: computed powder X-ray diffraction pattern (Cu Ka), based on the GGA+U geometry in Alexandria.
Intensities are scaled so that the largest is 100.

The 8 most intense peaks (10° ≤ 2θ ≤ 80°), in order of rising 2θ:
(0 0 2), 20.05 deg, d = 4.428 Å, I = 23; (1 0 2), 22.62 deg, d = 3.931 Å, I = 100; (1 2 0), 23.09 deg, d = 3.853 Å, I = 77; (2 1 0), 23.24 deg, d = 3.827 Å, I = 20; (2 1 1), 25.35 deg, d = 3.513 Å, I = 36; (0 1 3), 32.04 deg, d = 2.793 Å, I = 33; (1 3 0), 32.84 deg, d = 2.727 Å, I = 41; (3 0 1), 33.06 deg, d = 2.710 Å, I = 38

Cell and atoms:
```
LiFeP3O9
1.0
8.538 0.000 0.000
0.000 8.635 0.000
0.000 0.000 8.857
Li Fe P O
4 4 12 36
Direct
0.153 0.137 0.114
0.347 0.863 0.614
0.653 0.363 0.886
0.847 0.637 0.386
0.129 0.857 0.341
0.371 0.143 0.841
0.629 0.643 0.659
0.871 0.357 0.159
0.027 0.323 0.818
0.189 0.478 0.309
0.201 0.809 0.938
0.299 0.191 0.438
0.311 0.522 0.809
0.473 0.677 0.318
0.527 0.177 0.182
0.689 0.022 0.691
0.701 0.691 0.062
0.799 0.309 0.562
0.811 0.978 0.191
0.973 0.823 0.682
0.041 0.775 0.845
0.093 0.613 0.363
0.105 0.877 0.583
0.124 0.383 0.181
0.129 0.195 0.879
0.138 0.465 0.764
0.158 0.862 0.093
0.191 0.092 0.343
0.227 0.364 0.450
0.273 0.636 0.950
0.309 0.908 0.843
0.342 0.138 0.593
0.362 0.535 0.264
0.371 0.805 0.379
0.376 0.617 0.681
0.395 0.123 0.083
0.407 0.387 0.863
0.459 0.225 0.345
0.541 0.725 0.155
0.593 0.887 0.637
0.605 0.623 0.417
0.624 0.117 0.819
0.629 0.305 0.121
0.638 0.035 0.236
0.658 0.638 0.907
0.691 0.408 0.657
0.727 0.136 0.550
0.773 0.864 0.050
0.809 0.592 0.157
0.842 0.362 0.407
0.862 0.965 0.736
0.871 0.695 0.621
0.876 0.883 0.319
0.895 0.377 0.917
0.907 0.113 0.137
0.959 0.275 0.655
```